(1)
Structure and computed powder XRD pattern of Na2SiO12 (a structure optimized by DFT (PBE); a wavelength of 1.5418 Å).

Atomic structure:
```
data_Na2SiO12
_chemical_formula_sum 'Na16 Si8 O96'
_cell_length_a 7.498
_cell_length_b 13.378
_cell_length_c 17.287
_cell_angle_alpha 90.00
_cell_angle_beta 90.00
_cell_angle_gamma 90.00
_symmetry_space_group_name_H-M 'I b c a'
_symmetry_Int_Tables_number 73
_symmetry_space_group_name_Hall '-I 2b 2c'
loop_
_atom_site_label
_atom_site_fract_x
_atom_site_fract_y
_atom_site_fract_z
Na1 0.107 0.074 0.128
Si1 0.250 0.082 0.500
O1 0.066 0.079 0.283
O2 0.074 0.160 0.974
O3 0.077 0.136 0.777
O4 0.095 0.181 0.710
O5 0.097 0.175 0.461
O6 0.171 0.031 0.574
```

Principal peaks in the range 15° ≤ 2θ ≤ 90°, by intensity:
index	Position (°2θ)	I/Imax
0 0 4	20.55	100
1 1 6	34.00	61
1 3 6	39.11	58
2 3 3	34.93	58
2 0 2	25.90	52
0 4 0	26.65	50
2 1 5	35.97	45
1 2 3	23.58	43
2 3 1	31.60	41
1 2 1	18.50	39



(2)
Structure and computed powder XRD pattern of Na2Si2O5 (a structure optimized by DFT (PBE); a wavelength of 1.5418 Å).

Atomic structure:
```
data_Na2Si2O5
_chemical_formula_sum 'Na8 Si8 O20'
_cell_length_a 8.225
_cell_length_b 12.119
_cell_length_c 4.892
_cell_angle_alpha 90.00
_cell_angle_beta 90.00
_cell_angle_gamma 90.00
_symmetry_space_group_name_H-M 'P n a 21'
_symmetry_Int_Tables_number 33
loop_
_symmetry_equiv_pos_as_xyz
'x,y,z'
'-x,-y,z+1/2'
'-x+1/2,y+1/2,z+1/2'
'x+1/2,-y+1/2,z'
loop_
_atom_site_label
_atom_site_fract_x
_atom_site_fract_y
_atom_site_fract_z
Na1 0.064 0.226 0.000
Na2 0.188 0.690 0.024
Si1 0.053 0.933 0.954
Si2 0.108 0.526 0.565
O1 0.026 0.185 0.516
O2 0.027 0.963 0.625
O3 0.055 0.514 0.891
O4 0.164 0.650 0.505
O5 0.249 0.430 0.511
```

Principal peaks in the range 15° ≤ 2θ ≤ 90°, by intensity:
index	Position (°2θ)	I/Imax
0 0 2	36.75	100
1 1 1	22.38	94
2 0 0	21.61	50
1 4 0	31.47	45
2 2 1	32.04	43
3 1 0	33.51	42
2 3 0	31.03	40
1 2 1	25.79	38
0 3 1	28.66	26
1 2 0	18.18	23



(3)
Structure and computed powder XRD pattern of Na2Si2O5 (a structure optimized by DFT (PBE); a wavelength of 1.5418 Å).

Atomic structure:
```
data_Na2Si2O5
_chemical_formula_sum 'Na8 Si8 O20'
_cell_length_a 4.894
_cell_length_b 12.189
_cell_length_c 9.751
_cell_angle_alpha 90.00
_cell_angle_beta 119.56
_cell_angle_gamma 90.00
_symmetry_space_group_name_H-M 'P 1 21/c 1'
_symmetry_Int_Tables_number 14
loop_
_symmetry_equiv_pos_as_xyz
'x,y,z'
'-x,-y,-z'
'-x,y+1/2,-z+1/2'
'x,-y+1/2,z+1/2'
loop_
_atom_site_label
_atom_site_fract_x
_atom_site_fract_y
_atom_site_fract_z
Na1 0.112 0.003 0.370
Na2 0.386 0.538 0.619
Si1 0.143 0.197 0.950
Si2 0.480 0.679 0.176
O1 0.139 0.075 0.887
O2 0.208 0.728 0.574
O3 0.229 0.203 0.362
O4 0.374 0.553 0.135
O5 0.393 0.209 0.138
```

Principal peaks in the range 15° ≤ 2θ ≤ 90°, by intensity:
index	Position (°2θ)	I/Imax
0 1 2	22.18	100
2 0 -2	36.73	46
1 2 -1	23.31	37
0 4 0	29.31	19
0 0 4	42.64	18
0 4 1	31.19	15
1 0 -2	21.05	11
1 3 -1	28.55	11
0 2 1	17.92	11
1 3 1	35.57	9



(4)
Structure and computed powder XRD pattern of Na2Si3O7 (a structure optimized by DFT (PBE); a wavelength of 1.5418 Å).

Atomic structure:
```
data_Na2Si3O7
_chemical_formula_sum 'Na8 Si12 O28'
_cell_length_a 7.295
_cell_length_b 10.734
_cell_length_c 9.939
_cell_angle_alpha 90.00
_cell_angle_beta 120.28
_cell_angle_gamma 90.00
_symmetry_space_group_name_H-M 'P 1 21/c 1'
_symmetry_Int_Tables_number 14
loop_
_symmetry_equiv_pos_as_xyz
'x,y,z'
'-x,-y,-z'
'-x,y+1/2,-z+1/2'
'x,-y+1/2,z+1/2'
loop_
_atom_site_label
_atom_site_fract_x
_atom_site_fract_y
_atom_site_fract_z
Na1 0.211 0.196 0.122
Na2 0.251 0.560 0.070
Si1 0.165 0.068 0.816
Si2 0.278 0.606 0.727
Si3 0.379 0.683 0.476
O1 0.014 0.602 0.634
O2 0.102 0.105 0.643
O3 0.217 0.583 0.347
O4 0.327 0.704 0.617
O5 0.350 0.682 0.892
O6 0.373 0.144 0.954
O7 0.390 0.025 0.257
```

Principal peaks in the range 15° ≤ 2θ ≤ 90°, by intensity:
index	Position (°2θ)	I/Imax
0 2 1	19.51	100
1 1 -3	28.23	76
2 1 0	29.56	55
0 3 1	27.00	54
1 1 0	16.32	52
0 2 2	26.60	51
2 0 0	28.33	51
2 1 -3	30.95	49
2 1 -1	26.09	42
1 4 -1	35.78	35